For BaNa2V2O7, a cell relaxed with PBE+U gives the theoretical X-ray diffraction stick pattern in this record (λ = 1.5418 Å (Cu Kα)).
No peak broadening, texture or thermal motion is included.

Cell and atoms:
```
data_BaNa2V2O7
_chemical_formula_sum 'Ba1 Na2 V2 O7'
_space_group_name_H-M_alt 'P 1'
_space_group_IT_number 1
_cell_length_a 8.772
_cell_length_b 8.772
_cell_length_c 8.772
_cell_angle_alpha 39.49
_cell_angle_beta 39.49
_cell_angle_gamma 39.49
loop_
_space_group_symop_operation_xyz
'x,y,z'
loop_
_atom_site_label
_atom_site_type_symbol
_atom_site_fract_x
_atom_site_fract_y
_atom_site_fract_z
Ba1 Ba 0.000 0.000 0.000
Na1 Na 0.242 0.242 0.242
Na2 Na 0.758 0.758 0.758
V1 V 0.425 0.425 0.425
V2 V 0.575 0.575 0.575
O1 O 0.129 0.398 0.679
O2 O 0.321 0.602 0.871
O3 O 0.398 0.679 0.129
O4 O 0.500 0.500 0.500
O5 O 0.602 0.871 0.321
O6 O 0.679 0.129 0.398
O7 O 0.871 0.321 0.602
```

Largest 10 diffraction maxima, most intense first, 10° ≤ 2θ ≤ 90°:
d/Å  Rel. int.
4.726  100
3.524  83
2.964  77
8.077  54
3.916  46
2.870  42
1.993  31
1.711  24
1.669  23
2.363  20